[1]
Sm6Zn2N: computed X-ray diffraction stick pattern (Cu Kα (λ = 1.5418 Å)), based on a structure optimized by DFT (GGA-PBE).

Principal peaks in the range 10 to 80 degrees two-theta, low angle first:
d [Å], 2θ (°), I_rel
2.998, 29.80, 32
2.987, 29.91, 29
2.896, 30.88, 100
2.775, 32.26, 17
2.657, 33.73, 18
2.432, 36.96, 26

Crystal structure
```
Sm6Zn2N
1.0
6.6842 0.0000 0.0000
0.0000 7.0897 0.0000
-6.6259 0.0000 10.0444
Sm Zn N
12 4 2
direct
0.1331 0.0182 0.2401
0.1331 0.4818 0.7401
0.2376 0.7112 0.0460
0.2376 0.7888 0.5460
0.3453 0.1972 0.0483
0.3453 0.3028 0.5483
0.6547 0.6972 0.4517
0.6547 0.8028 0.9517
0.7624 0.2112 0.4540
0.7624 0.2888 0.9540
0.8669 0.5182 0.2599
0.8669 0.9818 0.7599
0.2928 0.0687 0.7495
0.2928 0.4313 0.2495
0.7072 0.5687 0.7505
0.7072 0.9313 0.2505
0.0000 0.0000 0.0000
0.0000 0.5000 0.5000
```

---

[2]
Pm8P3SeS4: computed X-ray diffraction stick pattern (Cu Kα (λ = 1.5418 Å)), based on a structure optimized by DFT (GGA-PBE).

Principal peaks in the range 10 to 80 degrees two-theta, low angle first:
d [Å], 2θ (°), I_rel
3.347, 26.63, 49
2.896, 30.88, 100
2.051, 44.16, 36
2.045, 44.30, 36
1.747, 52.36, 24
1.674, 54.86, 19

Crystal structure
```
Pm8P3SeS4
1.0
4.1014 2.3680 6.6680
-4.1014 2.3680 6.6680
0.0000 -4.7359 6.6680
Pm P Se S
8 3 1 4
direct
0.2385 0.7548 0.7548
0.2452 0.2452 0.7615
0.2452 0.7615 0.2452
0.2475 0.2475 0.2475
0.7525 0.7525 0.7525
0.7548 0.2385 0.7548
0.7548 0.7548 0.2385
0.7615 0.2452 0.2452
0.0000 0.0000 0.5000
0.0000 0.5000 0.0000
0.5000 0.0000 0.0000
0.5000 0.5000 0.5000
0.0000 0.0000 0.0000
0.0000 0.5000 0.5000
0.5000 0.0000 0.5000
0.5000 0.5000 0.0000
```

---

[3]
NaCdInCl6: computed X-ray diffraction stick pattern (Cu Kα (λ = 1.5418 Å)), based on a structure optimized by DFT (GGA-PBE).

Principal peaks in the range 10 to 80 degrees two-theta, low angle first:
d [Å], 2θ (°), I_rel
6.267, 14.13, 75
5.802, 15.27, 43
4.258, 20.86, 71
2.954, 30.25, 100
2.288, 39.37, 86
1.934, 46.98, 39

Crystal structure
```
NaCdInCl6
1.0
6.6994 0.0000 0.0000
-3.3497 5.8019 0.0000
0.0000 0.0000 12.5343
Na Cd In Cl
2 2 2 12
direct
0.0000 0.0000 0.0000
0.0000 0.0000 0.5000
0.3333 0.6667 0.2500
0.6667 0.3333 0.7500
0.3333 0.6667 0.7500
0.6667 0.3333 0.2500
0.0123 0.3633 0.6328
0.0123 0.6490 0.8672
0.3510 0.3633 0.8672
0.3510 0.9877 0.6328
0.3633 0.0123 0.1328
0.3633 0.3510 0.3672
0.6367 0.6490 0.6328
0.6367 0.9877 0.8672
0.6490 0.0123 0.3672
0.6490 0.6367 0.1328
0.9877 0.3510 0.1328
0.9877 0.6367 0.3672
```